Diffraction record for Mn12O5F19. The powder XRD pattern is simulated, not measured: it uses a cell relaxed with PBE+U and CuKα.

Top 10 peaks for 2θ from 10° to 80°, low angle first:
hkl, d [Å], two_theta, I/Imax
1 1 0, 3.835, 23.19, 51
1 -1 0, 3.665, 24.29, 47
1 1 3, 3.125, 28.56, 58
1 1 -3, 3.096, 28.84, 53
-1 1 3, 3.017, 29.60, 100
0 0 6, 2.659, 33.71, 21
2 2 3, 1.810, 50.43, 19
2 0 6, 1.799, 50.74, 47
2 0 -6, 1.793, 50.92, 25
0 2 9, 1.523, 60.83, 28

Structure:
```
data_Mn12O5F19
_chemical_formula_sum 'Mn12 O5 F19'
_cell_length_a 4.881
_cell_length_b 5.863
_cell_length_c 15.953
_cell_angle_alpha 89.39
_cell_angle_beta 89.74
_cell_angle_gamma 87.35
_symmetry_space_group_name_H-M 'P 1'
_symmetry_Int_Tables_number 1
_symmetry_space_group_name_Hall 'P 1'
loop_
_atom_site_label
_atom_site_type_symbol
_atom_site_fract_x
_atom_site_fract_y
_atom_site_fract_z
Mn1 Mn 0.000 0.000 0.000
Mn2 Mn 0.000 0.020 0.663
Mn3 Mn 0.005 0.990 0.320
Mn4 Mn 0.014 0.318 0.156
Mn5 Mn 0.466 0.830 0.160
Mn6 Mn 0.479 0.522 0.325
Mn7 Mn 0.484 0.506 0.659
Mn8 Mn 0.485 0.833 0.822
Mn9 Mn 0.510 0.508 0.980
Mn10 Mn 0.538 0.867 0.500
Mn11 Mn 0.983 0.321 0.827
Mn12 Mn 0.986 0.314 0.492
O1 O 0.197 0.058 0.771
O2 O 0.211 0.042 0.107
O3 O 0.278 0.778 0.263
O4 O 0.714 0.551 0.875
O5 O 0.802 0.069 0.558
F1 F 0.217 0.278 0.935
F2 F 0.221 0.287 0.271
F3 F 0.235 0.054 0.432
F4 F 0.235 0.277 0.602
F5 F 0.241 0.558 0.769
F6 F 0.252 0.544 0.440
F7 F 0.263 0.780 0.934
F8 F 0.263 0.789 0.604
F9 F 0.271 0.538 0.089
F10 F 0.698 0.792 0.053
F11 F 0.716 0.788 0.712
F12 F 0.729 0.560 0.206
F13 F 0.730 0.561 0.549
F14 F 0.730 0.772 0.383
F15 F 0.754 0.051 0.889
F16 F 0.755 0.274 0.378
F17 F 0.756 0.065 0.215
F18 F 0.758 0.281 0.719
F19 F 0.765 0.291 0.046
```